Diffraction record for Rb2BiClF6. The powder diffraction line list is calculated, not measured: it uses a cell relaxed with GGA-PBE and Cu Ka.

Largest 10 diffraction maxima, sorted by position, 2θ from 5° to 70°:
| 2θ/deg | I_rel |
| --- | --- |
| 13.84 | 48 |
| 15.81 | 63 |
| 17.99 | 49 |
| 23.62 | 71 |
| 23.95 | 100 |
| 25.11 | 59 |
| 26.72 | 28 |
| 28.35 | 34 |
| 29.75 | 31 |
| 42.35 | 24 |

Atomic structure:
Cell: 6.118 6.509 7.357 Å, 65.45 67.99 73.39°
Positions (direct):
Rb 0.000 0.000 0.000
Rb 0.440 0.625 0.564
Bi 0.221 0.314 0.274
Cl 0.643 0.857 0.814
F 0.060 0.021 0.402
F 0.193 0.296 0.578
F 0.221 0.339 0.977
F 0.409 0.601 0.104
F 0.546 0.079 0.265
F 0.889 0.539 0.298